Starting from a structure optimized by DFT (PBE), the XRD peak list of Er3Sc2Pb4 was computed for λ = 1.5418 Å (Cu Kα).
No peak broadening, texture or thermal motion is included.

Cell and atoms:
```
Er3Sc2Pb4
1.0
7.8388 -2.4544 0.0000
7.8388 2.4544 0.0000
-1.9518 0.0000 6.4581
Er Sc Pb
3 2 4
direct
0.0000 0.0000 0.0000 Er
0.1195 0.1195 0.5979 Er
0.8805 0.8805 0.4021 Er
0.3307 0.3307 0.9447 Sc
0.6693 0.6693 0.0553 Sc
0.2353 0.2353 0.2747 Pb
0.4884 0.4884 0.7169 Pb
0.5116 0.5116 0.2831 Pb
0.7647 0.7647 0.7253 Pb
```

Most intense lines, 2θ = 10–90°, low angle first:
two_theta  I/Imax
23.72  27
25.42  28
30.86  25
31.42  100
32.26  26
33.72  69
34.34  34
34.50  22
36.61  50
48.57  30

***

Starting from a structure optimized by DFT (PBE), the XRD peak list of Er2PbSe4 was computed for λ = 1.5418 Å (Cu Kα).
No peak broadening, texture or thermal motion is included.

Cell and atoms:
```
Er2PbSe4
1.0
12.6085 0.0000 0.0000
0.0000 4.1107 0.0000
0.0000 0.0000 15.0228
Er Pb Se
8 4 16
direct
0.0576 0.2500 0.1070 Er
0.0823 0.2500 0.5979 Er
0.4177 0.7500 0.0979 Er
0.4424 0.7500 0.6070 Er
0.5576 0.2500 0.3930 Er
0.5823 0.2500 0.9021 Er
0.9177 0.7500 0.4021 Er
0.9424 0.7500 0.8930 Er
0.2166 0.2500 0.3304 Pb
0.2834 0.7500 0.8304 Pb
0.7166 0.2500 0.1696 Pb
0.7834 0.7500 0.6696 Pb
0.0186 0.7500 0.7130 Se
0.0910 0.2500 0.9225 Se
0.1286 0.7500 0.4717 Se
0.2061 0.7500 0.1692 Se
0.2939 0.2500 0.6692 Se
0.3714 0.2500 0.9717 Se
0.4090 0.7500 0.4225 Se
0.4814 0.2500 0.2130 Se
0.5186 0.7500 0.7870 Se
0.5910 0.2500 0.5775 Se
0.6286 0.7500 0.0283 Se
0.7061 0.7500 0.3308 Se
0.7939 0.2500 0.8308 Se
0.8714 0.2500 0.5283 Se
0.9090 0.7500 0.0775 Se
0.9814 0.2500 0.2870 Se
```

Most intense lines, 2θ = 10–90°, low angle first:
two_theta  I/Imax
23.69  32
24.27  59
25.87  35
28.97  100
31.01  29
33.07  38
35.38  65
38.69  35
43.81  34
44.06  44

***

Starting from a structure optimized by DFT (PBE), the XRD peak list of Er2PbSe4 was computed for λ = 1.5418 Å (Cu Kα).
No peak broadening, texture or thermal motion is included.

Cell and atoms:
```
Er2PbSe4
1.0
2.0472 -6.7409 0.0000
2.0472 6.7409 0.0000
0.0000 0.0000 14.1193
Er Pb Se
4 2 8
direct
0.1363 0.8637 0.5661 Er
0.1363 0.8637 0.9339 Er
0.8637 0.1363 0.0661 Er
0.8637 0.1363 0.4339 Er
0.3967 0.6033 0.7500 Pb
0.6033 0.3967 0.2500 Pb
0.0531 0.9469 0.7500 Se
0.2303 0.7697 0.1145 Se
0.2303 0.7697 0.3855 Se
0.5000 0.5000 0.0000 Se
0.5000 0.5000 0.5000 Se
0.7697 0.2303 0.6145 Se
0.7697 0.2303 0.8855 Se
0.9469 0.0531 0.2500 Se
```

Most intense lines, 2θ = 10–90°, low angle first:
two_theta  I/Imax
23.05  95
28.54  39
29.51  26
30.20  100
32.18  72
39.33  52
42.15  41
43.85  24
44.24  35
44.65  70

***

Starting from a structure optimized by DFT (PBE), the XRD peak list of YErPbSe was computed for λ = 1.5418 Å (Cu Kα).
No peak broadening, texture or thermal motion is included.

Cell and atoms:
```
YErPbSe
1.0
4.2795 0.0000 0.0000
0.0000 4.2795 0.0000
0.0000 0.0000 6.0264
Y Er Pb Se
1 1 1 1
direct
0.0000 0.0000 0.0000 Y
0.5000 0.5000 0.5000 Er
0.5000 0.5000 0.0000 Pb
0.0000 0.0000 0.5000 Se
```

Most intense lines, 2θ = 10–90°, low angle first:
two_theta  I/Imax
20.76  27
29.52  88
29.65  44
36.47  14
42.30  100
52.45  36
69.49  31
69.72  15
77.29  23
77.48  11

***

Starting from a structure optimized by DFT (PBE), the XRD peak list of Er8Si3Te4Pb was computed for λ = 1.5418 Å (Cu Kα).
No peak broadening, texture or thermal motion is included.

Cell and atoms:
```
Er8Si3Te4Pb
1.0
4.2412 2.4487 7.0651
-4.2412 2.4487 7.0651
0.0000 -4.8974 7.0651
Er Si Te Pb
8 3 4 1
direct
0.2291 0.7473 0.7473 Er
0.2386 0.2386 0.2386 Er
0.2527 0.2527 0.7709 Er
0.2527 0.7709 0.2527 Er
0.7473 0.2291 0.7473 Er
0.7473 0.7473 0.2291 Er
0.7614 0.7614 0.7614 Er
0.7709 0.2527 0.2527 Er
0.0000 0.0000 0.5000 Si
0.0000 0.5000 0.0000 Si
0.5000 0.0000 0.0000 Si
0.0000 0.0000 0.0000 Te
0.0000 0.5000 0.5000 Te
0.5000 0.0000 0.5000 Te
0.5000 0.5000 0.0000 Te
0.5000 0.5000 0.5000 Pb
```

Most intense lines, 2θ = 10–90°, low angle first:
two_theta  I/Imax
25.67  9
29.59  100
32.25  6
42.05  35
42.63  38
52.75  20
61.43  11
69.23  13
70.07  17
77.65  11

***

Starting from a structure optimized by DFT (PBE), the XRD peak list of SmEr4Pb5 was computed for λ = 1.5418 Å (Cu Kα).
No peak broadening, texture or thermal motion is included.

Cell and atoms:
```
SmEr4Pb5
1.0
-4.9665 4.9665 3.1420
4.9665 -4.9665 3.1420
4.9665 4.9665 -3.1420
Sm Er Pb
1 4 5
direct
0.0000 0.0000 0.0000 Sm
0.2039 0.3989 0.5989 Er
0.3989 0.8000 0.1950 Er
0.6050 0.2039 0.8050 Er
0.8000 0.6050 0.4011 Er
0.1010 0.6970 0.7939 Pb
0.3071 0.1010 0.4040 Pb
0.4998 0.4998 0.0000 Pb
0.6970 0.9031 0.5960 Pb
0.9031 0.3071 0.2061 Pb
```

Most intense lines, 2θ = 10–90°, low angle first:
two_theta  I/Imax
24.54  2
28.41  100
40.61  78
48.03  1
50.31  28
58.79  13
64.67  1
66.56  37
73.90  27
87.91  9

***

Starting from a structure optimized by DFT (PBE), the XRD peak list of Sm3ErPb2 was computed for λ = 1.5418 Å (Cu Kα).
No peak broadening, texture or thermal motion is included.

Cell and atoms:
```
Sm3ErPb2
1.0
4.9595 0.0000 0.0000
0.0000 16.2089 0.0000
0.0000 0.0000 4.4719
Sm Er Pb
6 2 4
direct
0.0000 0.0000 0.0000 Sm
0.0000 0.3244 0.0000 Sm
0.0000 0.6756 0.0000 Sm
0.5000 0.1756 0.0000 Sm
0.5000 0.5000 0.0000 Sm
0.5000 0.8244 0.0000 Sm
0.0000 0.5000 0.5000 Er
0.5000 0.0000 0.5000 Er
0.0000 0.1497 0.5000 Pb
0.0000 0.8503 0.5000 Pb
0.5000 0.3503 0.5000 Pb
0.5000 0.6497 0.5000 Pb
```

Most intense lines, 2θ = 10–90°, low angle first:
two_theta  I/Imax
31.62  100
33.16  19
36.23  18
40.34  14
49.92  12
55.32  11
58.28  12
62.29  15
66.04  11
67.91  11

***

Starting from a structure optimized by DFT (PBE), the XRD peak list of Sm8Er2Pb was computed for λ = 1.5418 Å (Cu Kα).
No peak broadening, texture or thermal motion is included.

Cell and atoms:
```
Sm8Er2Pb
1.0
8.7758 -2.7019 0.0000
8.7758 2.7019 0.0000
-3.4162 0.0000 7.5968
Sm Er Pb
8 2 1
direct
0.0202 0.0202 0.2353 Sm
0.1632 0.1632 0.7098 Sm
0.3279 0.3279 0.5888 Sm
0.3925 0.3925 0.0630 Sm
0.6075 0.6075 0.9370 Sm
0.6721 0.6721 0.4112 Sm
0.8368 0.8368 0.2902 Sm
0.9798 0.9798 0.7647 Sm
0.1980 0.1980 0.1489 Er
0.8020 0.8020 0.8511 Er
0.5000 0.5000 0.5000 Pb
```

Most intense lines, 2θ = 10–90°, low angle first:
two_theta  I/Imax
30.37  67
31.10  100
32.74  25
33.18  74
33.59  13
40.15  13
47.64  22
57.50  17
57.95  17
64.60  18